Record 1
For PuH2Pd2, DFT lattice parameters and positions (GGA-PBE) gives the calculated powder diffractogram in this record (Cu Ka).
Kinematic intensities with the Lorentz-polarization factor, no thermal factor.

Most intense lines, 2θ = 5–70°, in order of rising 2θ:
30.25°, intensity 33
31.01°, intensity 50
35.32°, intensity 49
35.99°, intensity 60
37.14°, intensity 100
41.89°, intensity 38

Structure:
```
PuH2Pd2
1.0
2.6687 -5.7680 0.0000
2.6687 5.7680 0.0000
-2.5694 0.0000 4.4215
Pu H Pd
2 4 4
Direct
0.1396 0.8604 0.7500
0.8604 0.1396 0.2500
0.1851 0.8149 0.2500
0.3399 0.6601 0.7500
0.6601 0.3399 0.2500
0.8149 0.1851 0.7500
0.2223 0.3998 0.9151
0.3998 0.2223 0.4151
0.6002 0.7777 0.5849
0.7777 0.6002 0.0849
```

Record 2
For PuHPd6, DFT lattice parameters and positions (GGA-PBE) gives the calculated powder diffractogram in this record (Cu Ka).
Kinematic intensities with the Lorentz-polarization factor, no thermal factor.

Most intense lines, 2θ = 5–70°, in order of rising 2θ:
30.68°, intensity 45
35.84°, intensity 37
37.42°, intensity 24
38.19°, intensity 100
39.69°, intensity 38
49.76°, intensity 30

Structure:
```
PuHPd6
1.0
2.7565 1.5915 4.9055
-2.7565 1.5915 4.9055
0.0000 -3.1830 4.9055
Pu H Pd
1 1 6
Direct
0.0000 0.0000 0.0000
0.5000 0.5000 0.5000
0.0832 0.5943 0.5943
0.4057 0.4057 0.9168
0.4057 0.9168 0.4057
0.5943 0.0832 0.5943
0.5943 0.5943 0.0832
0.9168 0.4057 0.4057
```

Record 3
For PuH6Pd3, DFT lattice parameters and positions (GGA-PBE) gives the calculated powder diffractogram in this record (Cu Ka).
Kinematic intensities with the Lorentz-polarization factor, no thermal factor.

Most intense lines, 2θ = 5–70°, in order of rising 2θ:
21.62°, intensity 20
34.44°, intensity 70
34.55°, intensity 35
35.90°, intensity 100
50.69°, intensity 24
64.51°, intensity 20

Structure:
```
PuH6Pd3
1.0
5.0013 0.0000 0.0000
2.5005 4.3348 0.0000
0.0039 2.8700 4.3364
Pu H Pd
1 6 3
Direct
0.0000 0.0000 0.0000
0.0135 0.5020 0.0222
0.1284 0.9923 0.5040
0.4845 0.9921 0.0308
0.4991 0.3701 0.5075
0.5228 0.4623 0.0233
0.8793 0.6228 0.5063
0.2453 0.5093 0.7356
0.4770 0.0455 0.4306
0.7570 0.4860 0.2716
```